For Li2V3CrO8, DFT lattice parameters and positions (PBE+U) gives the theoretical powder XRD pattern in this record (Cu Ka).

Structural model:
Lattice parameters (Å, degrees): 5.975 5.975 5.975 59.05 59.05 59.05
Fractional coordinates of all 14 atoms:
Li 0.124 0.124 0.124
Li 0.876 0.876 0.876
V 0.000 0.500 0.500
V 0.500 0.000 0.500
V 0.500 0.500 0.000
Cr 0.500 0.500 0.500
O 0.259 0.259 0.715
O 0.259 0.715 0.259
O 0.261 0.261 0.261
O 0.285 0.741 0.741
O 0.715 0.259 0.259
O 0.739 0.739 0.739
O 0.741 0.285 0.741
O 0.741 0.741 0.285

Most intense lines, 15° ≤ 2θ ≤ 90°, low angle first:
two_theta  Rel. int.
18.05  33
18.41  100
35.16  16
35.54  33
35.73  14
43.14  80
62.15  24
63.15  23